# 1
The following is a theoretical powder diffractogram of CdAg14Au. It was derived from a cell relaxed with PBE, using a wavelength of 1.5418 Å.
Kinematic intensities with the Lorentz-polarization factor, no thermal factor.

Peak list (8 most intense, 10° ≤ 2θ ≤ 90°, in order of rising 2θ)
two_theta, intensity, index
36.23, 248, 1 0 4
36.36, 507, 1 2 2
37.74, 547, 4 0 0
39.88, 523, 2 0 4
40.00, 1000, 2 2 2
45.52, 264, 3 2 2
69.64, 274, 6 0 4
75.61, 265, 4 2 6

Atomic structure:
Cell lengths 9.533, 5.900, 10.271 Å; angles 90.00, 90.00, 90.00 degrees
Space group Amm2 (No. 38)
Asymmetric unit:
1 Cd 0.000 0.000 0.000 (multiplicity 2)
2 Ag 0.000 0.249 0.250 (multiplicity 4)
3 Ag 0.250 0.000 0.666 (multiplicity 4)
4 Ag 0.251 0.250 0.415 (multiplicity 8)
5 Ag 0.252 0.000 0.166 (multiplicity 4)
6 Ag 0.500 0.000 0.332 (multiplicity 2)
7 Ag 0.500 0.000 0.831 (multiplicity 2)
8 Ag 0.500 0.250 0.081 (multiplicity 4)
9 Au 0.000 0.000 0.499 (multiplicity 2)


# 2
The following is a theoretical powder diffractogram of Cd2Ag4Au. It was derived from a cell relaxed with PBE, using a wavelength of 1.5418 Å.
Kinematic intensities with the Lorentz-polarization factor, no thermal factor.

Peak list (8 most intense, 10° ≤ 2θ ≤ 90°, in order of rising 2θ)
two_theta, intensity, index
30.95, 917, 1 1 3
36.41, 369, 1 3 2
37.14, 651, 0 4 1
37.27, 552, 1 1 4
38.29, 381, 2 1 0
39.59, 287, 0 4 2
40.48, 1000, 1 3 3
41.53, 309, 2 2 0

Atomic structure:
Cell lengths 4.840, 9.900, 11.601 Å; angles 90.00, 90.00, 90.00 degrees
Space group Pbca (No. 61)
Asymmetric unit:
1 Cd 0.020 0.051 0.151 (multiplicity 8)
2 Ag 0.130 0.725 0.561 (multiplicity 8)
3 Ag 0.133 0.673 0.812 (multiplicity 8)
4 Au 0.000 0.000 0.500 (multiplicity 4)


# 3
The following is a theoretical powder diffractogram of Cd5Ag5Au2. It was derived from a cell relaxed with PBE, using a wavelength of 1.5418 Å.
Kinematic intensities with the Lorentz-polarization factor, no thermal factor.

Peak list (8 most intense, 10° ≤ 2θ ≤ 90°, in order of rising 2θ)
two_theta, intensity, index
36.40, 541, 2 0 2
37.29, 541, 0 2 0
38.05, 1000, 5 1 -1
38.21, 989, 3 1 -3
53.10, 355, 2 2 2
66.48, 160, 7 1 1
67.75, 174, 5 3 -1
67.85, 184, 3 3 -3

Atomic structure:
Cell lengths 13.883, 4.823, 8.118 Å; angles 90.00, 121.72, 90.00 degrees
Space group C2/m (No. 12)
Asymmetric unit:
1 Cd 0.000 0.000 0.000 (multiplicity 2)
2 Cd 0.095 0.000 0.429 (multiplicity 4)
3 Cd 0.172 0.000 0.845 (multiplicity 4)
4 Ag 0.000 0.500 0.500 (multiplicity 2)
5 Ag 0.083 0.500 0.909 (multiplicity 4)
6 Ag 0.245 0.500 0.735 (multiplicity 4)
7 Au 0.158 0.500 0.313 (multiplicity 4)


Q: Number 1 is which compound?
A: CdAg14Au